Structure and calculated X-ray powder pattern of TaRu3 (a GGA-PBE-relaxed structure; CuKα).
Kinematic intensities with the Lorentz-polarization factor, no thermal factor.

The 10 most intense peaks (2θ from 10° to 90°), by angle:
d_spacing, intensity
3.903, 7
2.760, 6
2.253, 100
1.951, 49
1.745, 3
1.593, 3
1.380, 31
1.301, 2
1.177, 37
1.127, 11

```
4
Lattice="3.9029 0.0000 0.0000 0.0000 3.9029 0.0000 0.0000 0.0000 3.9029" Properties=species:S:1:pos:R:3 pbc="T T T"
Ta 0.0000 0.0000 0.0000
Ru 0.0000 1.9515 1.9515
Ru 1.9515 0.0000 1.9515
Ru 1.9515 1.9515 0.0000
```

Structure and calculated X-ray powder pattern of Ta5Ru4 (a GGA-PBE-relaxed structure; CuKα).
Kinematic intensities with the Lorentz-polarization factor, no thermal factor.

The 10 most intense peaks (2θ from 10° to 90°), by angle:
d_spacing, intensity
3.205, 12
2.354, 31
2.313, 100
2.222, 99
1.602, 31
1.335, 18
1.317, 25
1.273, 9
1.214, 10
1.156, 27

```
18
Lattice="8.0113 0.0000 0.0000 -4.0057 6.9380 0.0000 0.0000 0.0000 5.3420" Properties=species:S:1:pos:R:3 pbc="T T T"
Ta -1.1678 2.0226 1.3355
Ta -2.8379 4.9154 4.0065
Ta 2.3355 0.0000 1.3355
Ta 1.1678 2.0226 4.0065
Ta 0.0000 4.6253 0.0000
Ta 0.0000 4.6253 2.6710
Ta 4.0057 2.3127 0.0000
Ta 4.0057 2.3127 2.6710
Ta 5.6758 0.0000 4.0065
Ta 2.8379 4.9154 1.3355
Ru 0.0000 0.0000 0.0000
Ru 0.0000 0.0000 2.6710
Ru -1.4933 2.5866 4.0065
Ru -2.5123 4.3515 1.3355
Ru 2.9867 0.0000 4.0065
Ru 1.4933 2.5866 1.3355
Ru 5.0246 0.0000 1.3355
Ru 2.5123 4.3515 4.0065
```

Structure and calculated X-ray powder pattern of TaRu3 (a GGA-PBE-relaxed structure; CuKα).
Kinematic intensities with the Lorentz-polarization factor, no thermal factor.

The 10 most intense peaks (2θ from 10° to 90°), by angle:
d_spacing, intensity
3.926, 2
3.491, 7
2.255, 100
1.963, 16
1.949, 32
1.383, 21
1.378, 10
1.182, 12
1.176, 24
1.128, 11

```
4
Lattice="-1.9485 1.9485 3.9257 1.9485 -1.9485 3.9257 1.9485 1.9485 -3.9257" Properties=species:S:1:pos:R:3 pbc="T T T"
Ta 0.0000 0.0000 0.0000
Ru 1.9485 0.0000 1.9629
Ru 0.0000 0.0000 3.9257
Ru 0.0000 1.9485 1.9629
```

Structure and calculated X-ray powder pattern of Ta17Ru12 (a GGA-PBE-relaxed structure; CuKα).
Kinematic intensities with the Lorentz-polarization factor, no thermal factor.

The 10 most intense peaks (2θ from 10° to 90°), by angle:
d_spacing, intensity
2.467, 7
2.326, 100
2.104, 13
2.014, 9
1.935, 11
1.644, 5
1.395, 5
1.343, 27
1.296, 5
1.163, 7

```
29
Lattice="-4.9335 4.9335 4.9335 4.9335 -4.9335 4.9335 4.9335 4.9335 -4.9335" Properties=species:S:1:pos:R:3 pbc="T T T"
Ta 0.0000 0.0000 0.0000
Ta 3.2373 3.2373 -3.2373
Ta 5.3066 1.4261 -1.4261
Ta 3.2373 -3.2373 3.2373
Ta 5.3066 -1.4261 1.4261
Ta 4.5603 1.4261 1.4261
Ta 3.5074 3.5074 -0.3731
Ta 3.5074 -0.3731 3.5074
Ta 1.6962 1.6962 1.6962
Ta 1.4261 5.3066 -1.4261
Ta 1.4261 -1.4261 5.3066
Ta 1.4261 4.5603 1.4261
Ta 1.4261 1.4261 4.5603
Ta -3.2373 3.2373 3.2373
Ta -1.4261 5.3066 1.4261
Ta -1.4261 1.4261 5.3066
Ta -0.3731 3.5074 3.5074
Ru 2.7888 0.9050 -0.9050
Ru 2.7888 -0.9050 0.9050
Ru 7.0781 0.9050 0.9050
Ru 0.9050 2.7888 -0.9050
Ru 0.9050 -0.9050 2.7888
Ru -0.9050 2.7888 0.9050
Ru -0.9050 0.9050 2.7888
Ru 4.0284 4.0284 2.1446
Ru 4.0284 2.1446 4.0284
Ru 0.9050 7.0781 0.9050
Ru 0.9050 0.9050 7.0781
Ru 2.1446 4.0284 4.0284
```

Structure and calculated X-ray powder pattern of Ta6Ru5 (a GGA-PBE-relaxed structure; CuKα).
Kinematic intensities with the Lorentz-polarization factor, no thermal factor.

The 10 most intense peaks (2θ from 10° to 90°), by angle:
d_spacing, intensity
3.151, 8
3.128, 16
2.220, 100
2.212, 49
1.575, 8
1.564, 16
1.283, 16
1.280, 15
1.278, 17
1.110, 10

```
11
Lattice="-2.2101 3.1507 6.6428 2.2101 -3.1507 6.6428 2.2101 3.1507 -6.6428" Properties=species:S:1:pos:R:3 pbc="T T T"
Ta 2.2101 1.5248 -2.0999
Ta 0.0000 1.4593 0.0000
Ta 2.2101 1.5248 2.0999
Ta 0.0000 1.6260 4.5429
Ta 0.0000 4.8422 0.0000
Ta 0.0000 1.6260 8.7427
Ru 0.0000 0.0000 2.3561
Ru 2.2101 0.0000 4.4481
Ru 0.0000 0.0000 6.6428
Ru 0.0000 3.1507 2.1947
Ru 0.0000 0.0000 10.9295
```

Structure and calculated X-ray powder pattern of Ta8Ti2Ru (a GGA-PBE-relaxed structure; CuKα).
Kinematic intensities with the Lorentz-polarization factor, no thermal factor.

The 10 most intense peaks (2θ from 10° to 90°), by angle:
d_spacing, intensity
4.433, 8
3.429, 12
2.316, 100
2.311, 99
1.638, 12
1.635, 23
1.338, 18
1.336, 29
1.334, 24
1.158, 11

```
11
Lattice="7.6888 -2.3082 0.0000 7.6888 2.3082 0.0000 -0.0100 0.0000 5.4268" Properties=species:S:1:pos:R:3 pbc="T T T"
Ta 0.6787 0.0000 1.2574
Ta 3.5022 0.0000 0.7708
Ta 4.9577 0.0000 3.2120
Ta 6.3167 0.0000 0.3091
Ta 9.0509 0.0000 5.1177
Ta 10.4099 0.0000 2.2148
Ta 11.8654 0.0000 4.6560
Ta 14.6889 0.0000 4.1694
Ti 2.1416 0.0000 3.7250
Ti 13.2260 0.0000 1.7018
Ru 7.6838 0.0000 2.7134
```

Structure and calculated X-ray powder pattern of Ta3TiRu3 (a GGA-PBE-relaxed structure; CuKα).
Kinematic intensities with the Lorentz-polarization factor, no thermal factor.

The 10 most intense peaks (2θ from 10° to 90°), by angle:
d_spacing, intensity
3.098, 9
2.717, 14
2.248, 30
2.180, 100
2.137, 17
1.842, 8
1.549, 12
1.533, 9
1.284, 16
1.267, 9

```
14
Lattice="4.2747 -4.4969 0.0000 4.2747 4.4969 0.0000 0.0000 0.0000 6.1338" Properties=species:S:1:pos:R:3 pbc="T T T"
Ta 4.2747 2.3985 0.0000
Ta 2.2473 0.0000 3.0669
Ta 2.6429 0.0000 0.0000
Ta 5.9065 0.0000 0.0000
Ta 6.3021 0.0000 3.0669
Ta 4.2747 -2.3985 0.0000
Ti 4.2747 2.1330 3.0669
Ti 4.2747 -2.1330 3.0669
Ru 0.0000 0.0000 1.5819
Ru 0.0000 0.0000 4.5520
Ru 2.1373 2.2485 1.5560
Ru 2.1373 2.2485 4.5778
Ru 2.1373 -2.2485 1.5560
Ru 2.1373 -2.2485 4.5778
```

Structure and calculated X-ray powder pattern of Ta14TiRu (a GGA-PBE-relaxed structure; CuKα).
Kinematic intensities with the Lorentz-polarization factor, no thermal factor.

The 10 most intense peaks (2θ from 10° to 90°), by angle:
d_spacing, intensity
2.334, 100
2.325, 25
2.317, 24
1.659, 9
1.641, 17
1.350, 18
1.344, 17
1.341, 17
1.167, 11
1.163, 3

```
16
Lattice="3.3184 -4.6504 0.0000 3.3184 4.6504 0.0000 0.0000 0.0000 9.2673" Properties=species:S:1:pos:R:3 pbc="T T T"
Ta 0.0000 0.0000 0.0000
Ta 1.6592 2.3252 0.0000
Ta 1.6592 2.3252 4.6336
Ta 3.3184 2.3768 2.3313
Ta 3.3184 2.3768 6.9360
Ta 1.6982 0.0000 2.3819
Ta 1.6982 0.0000 6.8854
Ta 1.6592 -2.3252 0.0000
Ta 1.6592 -2.3252 4.6336
Ta 3.3184 0.0000 0.0000
Ta 4.9386 0.0000 2.3819
Ta 4.9386 0.0000 6.8854
Ta 3.3184 -2.3768 2.3313
Ta 3.3184 -2.3768 6.9360
Ti 0.0000 0.0000 4.6336
Ru 3.3184 0.0000 4.6336
```